# 1
The following is a calculated powder XRD pattern of BaH2C2O5. It was derived from a cell relaxed with GGA-PBE, using Cu Kα, 1.54184 Å.
Peak positions follow from Bragg's law for the DFT cell and can differ from measured ones.

Structural model:
```
BaH2C2O5
1.0
5.163 -4.006 0.000
5.163 4.006 0.000
-3.734 0.000 5.960
Ba H C O
2 4 4 10
direct
0.217 0.217 0.318
0.783 0.783 0.682
0.349 0.557 0.179
0.443 0.651 0.821
0.557 0.349 0.179
0.651 0.443 0.821
0.041 0.237 0.761
0.237 0.041 0.761
0.763 0.959 0.239
0.959 0.763 0.239
0.020 0.358 0.651
0.080 0.744 0.131
0.256 0.920 0.869
0.358 0.020 0.651
0.477 0.477 0.269
0.523 0.523 0.731
0.642 0.980 0.349
0.744 0.080 0.131
0.920 0.256 0.869
0.980 0.642 0.349
```

Main lines, sorted by position (5 to 70 degrees two-theta):
| d [Å] | two_theta | intensity |
| --- | --- | --- |
| 5.239 | 16.92 | 100.0 |
| 4.376 | 20.30 | 65.6 |
| 4.006 | 22.19 | 60.2 |
| 3.155 | 28.28 | 70.2 |
| 2.845 | 31.45 | 69.6 |
| 2.226 | 40.52 | 54.9 |

***

# 2
The following is a calculated powder XRD pattern of Ba2H2C4O9. It was derived from a cell relaxed with GGA-PBE, using Cu Kα, 1.54184 Å.
Peak positions follow from Bragg's law for the DFT cell and can differ from measured ones.

Structural model:
```
Ba2H2C4O9
1.0
6.473 0.000 0.000
1.205 8.610 0.000
1.064 4.008 8.846
Ba H C O
4 4 8 18
direct
0.194 0.134 0.078
0.249 0.509 0.296
0.751 0.491 0.704
0.806 0.866 0.922
0.140 0.041 0.468
0.282 0.898 0.429
0.718 0.102 0.571
0.860 0.959 0.532
0.149 0.223 0.693
0.232 0.586 0.819
0.348 0.676 0.892
0.392 0.184 0.688
0.608 0.816 0.312
0.652 0.324 0.108
0.768 0.414 0.181
0.851 0.777 0.307
0.036 0.624 0.809
0.046 0.158 0.819
0.067 0.323 0.571
0.164 0.991 0.394
0.241 0.728 0.985
0.340 0.476 0.781
0.457 0.313 0.143
0.477 0.112 0.814
0.484 0.233 0.558
0.516 0.767 0.442
0.523 0.888 0.186
0.543 0.687 0.857
0.660 0.524 0.219
0.759 0.272 0.015
0.836 0.009 0.606
0.933 0.677 0.429
0.954 0.842 0.181
0.964 0.376 0.191
```

Main lines, sorted by position (5 to 70 degrees two-theta):
| d [Å] | two_theta | intensity |
| --- | --- | --- |
| 8.846 | 10.00 | 42.0 |
| 5.052 | 17.55 | 37.8 |
| 3.825 | 23.25 | 100.0 |
| 3.312 | 26.92 | 57.9 |
| 3.200 | 27.88 | 34.5 |
| 2.614 | 34.30 | 31.8 |

***

# 3
The following is a calculated powder XRD pattern of BaH4C3O6. It was derived from a cell relaxed with GGA-PBE, using Cu Kα, 1.54184 Å.
Peak positions follow from Bragg's law for the DFT cell and can differ from measured ones.

Structural model:
```
BaH4C3O6
1.0
-7.143 7.143 3.570
7.143 -7.143 3.570
7.143 7.143 -3.570
Ba H C O
4 16 12 24
direct
0.385 0.082 0.354
0.728 0.031 0.646
0.918 0.272 0.303
0.969 0.615 0.697
0.100 0.124 0.275
0.106 0.603 0.053
0.175 0.900 0.024
0.302 0.232 0.864
0.313 0.540 0.678
0.365 0.687 0.227
0.369 0.438 0.136
0.397 0.450 0.503
0.460 0.138 0.773
0.550 0.053 0.947
0.562 0.698 0.930
0.768 0.631 0.070
0.849 0.825 0.725
0.862 0.635 0.322
0.876 0.151 0.976
0.947 0.894 0.497
0.021 0.453 0.989
0.140 0.127 0.808
0.233 0.568 0.660
0.319 0.332 0.192
0.427 0.767 0.335
0.432 0.092 0.665
0.464 0.033 0.011
0.547 0.536 0.568
0.668 0.860 0.987
0.873 0.681 0.013
0.908 0.573 0.340
0.967 0.979 0.432
0.011 0.928 0.782
0.037 0.411 0.594
0.046 0.634 0.293
0.064 0.011 0.351
0.072 0.854 0.083
0.095 0.198 0.775
0.146 0.229 0.218
0.247 0.954 0.589
0.286 0.936 0.947
0.342 0.753 0.707
0.366 0.658 0.411
0.423 0.320 0.225
0.541 0.100 0.135
0.557 0.963 0.374
0.589 0.183 0.626
0.594 0.459 0.560
0.660 0.714 0.649
0.680 0.905 0.103
0.771 0.989 0.917
0.802 0.577 0.897
0.817 0.443 0.406
0.900 0.035 0.440
0.965 0.406 0.865
0.989 0.340 0.053
```

Main lines, sorted by position (5 to 70 degrees two-theta):
| d [Å] | two_theta | intensity |
| --- | --- | --- |
| 10.102 | 8.75 | 100.0 |
| 6.386 | 13.87 | 54.8 |
| 4.761 | 18.64 | 65.2 |
| 3.367 | 26.47 | 56.8 |
| 3.194 | 27.93 | 50.2 |
| 2.801 | 31.95 | 56.5 |

***

# 4
The following is a calculated powder XRD pattern of BaH6C4O10. It was derived from a cell relaxed with GGA-PBE, using Cu Kα, 1.54184 Å.
Peak positions follow from Bragg's law for the DFT cell and can differ from measured ones.

Structural model:
```
BaH6C4O10
1.0
7.290 -2.741 0.000
7.290 2.741 0.000
-5.449 0.000 11.317
Ba H C O
2 12 8 20
direct
0.173 0.827 0.750
0.827 0.173 0.250
0.015 0.203 0.043
0.077 0.555 0.188
0.141 0.302 0.743
0.203 0.015 0.543
0.302 0.141 0.243
0.445 0.923 0.312
0.555 0.077 0.688
0.698 0.859 0.757
0.797 0.985 0.457
0.859 0.698 0.257
0.923 0.445 0.812
0.985 0.797 0.957
0.076 0.394 0.538
0.368 0.583 0.018
0.394 0.076 0.038
0.417 0.632 0.482
0.583 0.368 0.518
0.606 0.924 0.962
0.632 0.417 0.982
0.924 0.606 0.462
0.036 0.245 0.495
0.091 0.270 0.787
0.170 0.674 0.928
0.224 0.382 0.633
0.245 0.036 0.995
0.270 0.091 0.287
0.326 0.830 0.572
0.353 0.620 0.120
0.380 0.647 0.380
0.382 0.224 0.133
0.618 0.776 0.867
0.620 0.353 0.620
0.647 0.380 0.880
0.674 0.170 0.428
0.730 0.909 0.713
0.755 0.964 0.005
0.776 0.618 0.367
0.830 0.326 0.072
0.909 0.730 0.213
0.964 0.755 0.505
```

Main lines, sorted by position (5 to 70 degrees two-theta):
| d [Å] | two_theta | intensity |
| --- | --- | --- |
| 6.568 | 13.48 | 86.7 |
| 5.670 | 15.63 | 65.9 |
| 4.935 | 17.97 | 100.0 |
| 3.496 | 25.48 | 47.8 |
| 3.113 | 28.68 | 57.5 |
| 3.005 | 29.73 | 49.7 |